Diffraction record for Li2CrO4. The powder diffraction line list is simulated, not measured: it uses DFT lattice parameters and positions (GGA+U) and CuKα.
Neutral-atom scattering factors, no anomalous dispersion.

Atomic structure:
a b c (Å): 8.7893 8.7893 8.7893
angles (deg): 107.74 107.74 107.74
Fractional coordinates of all 42 atoms:
Li 0.1041 0.2764 0.8774
Li 0.1226 0.8959 0.7236
Li 0.2052 0.4390 0.6123
Li 0.2764 0.8774 0.1041
Li 0.3877 0.7948 0.5610
Li 0.4390 0.6123 0.2052
Li 0.5610 0.3877 0.7948
Li 0.6123 0.2052 0.4390
Li 0.7236 0.1226 0.8959
Li 0.7948 0.5610 0.3877
Li 0.8774 0.1041 0.2764
Li 0.8959 0.7236 0.1226
Cr 0.0523 0.4595 0.2343
Cr 0.2343 0.0523 0.4595
Cr 0.4595 0.2343 0.0523
Cr 0.5405 0.7657 0.9477
Cr 0.7657 0.9477 0.5405
Cr 0.9477 0.5405 0.7657
O 0.0245 0.6927 0.9730
O 0.0270 0.9755 0.3073
O 0.0358 0.3571 0.3640
O 0.0705 0.4292 0.7586
O 0.2414 0.9295 0.5708
O 0.2646 0.6009 0.3100
O 0.3073 0.0270 0.9755
O 0.3100 0.2646 0.6009
O 0.3571 0.3640 0.0358
O 0.3640 0.0358 0.3571
O 0.3991 0.6900 0.7354
O 0.4292 0.7586 0.0705
O 0.5708 0.2414 0.9295
O 0.6009 0.3100 0.2646
O 0.6360 0.9642 0.6429
O 0.6429 0.6360 0.9642
O 0.6900 0.7354 0.3991
O 0.6927 0.9730 0.0245
O 0.7354 0.3991 0.6900
O 0.7586 0.0705 0.4292
O 0.9295 0.5708 0.2414
O 0.9642 0.6429 0.6360
O 0.9730 0.0245 0.6927
O 0.9755 0.3073 0.0270

Peak list (10 most intense, 2θ = 5–70°, sorted by position)
2θ (°), intensity
12.47, 13
20.01, 33
21.28, 100
25.09, 34
26.82, 21
27.79, 14
30.88, 33
33.40, 24
47.97, 12
64.30, 21

Diffraction record for Li9Mn2Co5O16. The powder diffraction line list is simulated, not measured: it uses DFT lattice parameters and positions (GGA+U) and CuKα.
Neutral-atom scattering factors, no anomalous dispersion.

Atomic structure:
a b c (Å): 9.8254 2.9008 10.4092
angles (deg): 90.00 99.20 90.00
Fractional coordinates of all 32 atoms:
Li 0.0000 0.0000 0.0000
Li 0.0018 0.0000 0.4828
Li 0.2534 0.0000 0.3642
Li 0.2554 0.5000 0.5938
Li 0.2602 0.5000 0.1379
Li 0.5031 0.0000 0.7295
Li 0.5068 0.0000 0.2398
Li 0.7489 0.5000 0.8653
Li 0.7514 0.5000 0.3588
Mn 0.2551 0.0000 0.8619
Mn 0.9967 0.5000 0.7331
Co 0.0213 0.5000 0.2558
Co 0.4833 0.5000 0.4716
Co 0.5073 0.5000 0.9946
Co 0.7362 0.0000 0.6054
Co 0.7607 0.0000 0.1161
O 0.1084 0.0000 0.6787
O 0.1178 0.0000 0.1786
O 0.1199 0.5000 0.4175
O 0.1293 0.5000 0.9043
O 0.3640 0.5000 0.8052
O 0.3867 0.0000 0.5479
O 0.3904 0.5000 0.3079
O 0.3919 0.0000 0.0432
O 0.6172 0.0000 0.9399
O 0.6328 0.0000 0.4389
O 0.6367 0.5000 0.6793
O 0.6432 0.5000 0.1730
O 0.8685 0.5000 0.0517
O 0.8774 0.5000 0.5701
O 0.8892 0.0000 0.2909
O 0.8908 0.0000 0.7928

Peak list (10 most intense, 2θ = 5–70°, sorted by position)
2θ (°), intensity
9.12, 8
18.20, 100
35.08, 14
36.08, 24
42.37, 26
43.71, 53
47.27, 9
57.49, 9
62.37, 14
62.63, 13

Diffraction record for LiCoOF. The powder diffraction line list is simulated, not measured: it uses DFT lattice parameters and positions (GGA+U) and CuKα.
Neutral-atom scattering factors, no anomalous dispersion.

Atomic structure:
a b c (Å): 3.0256 3.0256 16.5269
angles (deg): 90.00 90.00 90.00
Fractional coordinates of all 16 atoms:
Li 0.2500 0.2500 0.0594
Li 0.2500 0.2500 0.8180
Li 0.7500 0.7500 0.1820
Li 0.7500 0.7500 0.9406
Co 0.2500 0.2500 0.3117
Co 0.2500 0.2500 0.5665
Co 0.7500 0.7500 0.4335
Co 0.7500 0.7500 0.6883
O 0.2500 0.2500 0.4372
O 0.2500 0.2500 0.6937
O 0.7500 0.7500 0.3063
O 0.7500 0.7500 0.5628
F 0.2500 0.2500 0.1793
F 0.2500 0.2500 0.9398
F 0.7500 0.7500 0.0602
F 0.7500 0.7500 0.8207

Peak list (10 most intense, 2θ = 5–70°, sorted by position)
2θ (°), intensity
5.35, 100
16.09, 2
33.80, 8
36.82, 4
40.42, 5
42.24, 15
42.61, 3
43.82, 6
61.27, 4
62.50, 7

Diffraction record for Li8VO5F. The powder diffraction line list is simulated, not measured: it uses DFT lattice parameters and positions (GGA+U) and CuKα.
Neutral-atom scattering factors, no anomalous dispersion.

Atomic structure:
a b c (Å): 5.6467 5.6467 10.9207
angles (deg): 90.00 90.00 120.00
Fractional coordinates of all 30 atoms:
Li 0.0198 0.6300 0.0000
Li 0.0241 0.3151 0.1509
Li 0.2910 0.9759 0.1509
Li 0.3151 0.2910 0.6509
Li 0.3333 0.6667 0.2927
Li 0.3333 0.6667 0.8030
Li 0.3700 0.3898 0.0000
Li 0.3898 0.0198 0.5000
Li 0.6102 0.9802 0.0000
Li 0.6300 0.6102 0.5000
Li 0.6667 0.3333 0.3030
Li 0.6667 0.3333 0.7927
Li 0.6849 0.7090 0.1509
Li 0.7090 0.0241 0.6509
Li 0.9759 0.6849 0.6509
Li 0.9802 0.3700 0.5000
V 0.0000 0.0000 0.3667
V 0.0000 0.0000 0.8667
O 0.0000 0.0000 0.0542
O 0.0000 0.0000 0.5542
O 0.0019 0.6735 0.8266
O 0.3265 0.3284 0.8266
O 0.3284 0.0019 0.3266
O 0.3333 0.6667 0.0911
O 0.6667 0.3333 0.5911
O 0.6716 0.9981 0.8266
O 0.6735 0.6716 0.3266
O 0.9981 0.3265 0.3266
F 0.3333 0.6667 0.5882
F 0.6667 0.3333 0.0882

Peak list (10 most intense, 2θ = 5–70°, sorted by position)
2θ (°), intensity
16.23, 25
18.14, 74
24.44, 100
31.69, 51
32.78, 96
40.42, 30
46.26, 31
52.25, 22
56.45, 48
66.84, 26

Diffraction record for Sm3WCl3O6. The powder diffraction line list is simulated, not measured: it uses DFT lattice parameters and positions (GGA+U) and CuKα.
Neutral-atom scattering factors, no anomalous dispersion.

Atomic structure:
a b c (Å): 9.2721 9.2721 5.3670
angles (deg): 90.00 90.00 120.00
Fractional coordinates of all 26 atoms:
Sm 0.0907 0.6861 0.2500
Sm 0.3139 0.4046 0.2500
Sm 0.4046 0.0907 0.7500
Sm 0.5954 0.9093 0.2500
Sm 0.6861 0.5954 0.7500
Sm 0.9093 0.3139 0.7500
W 0.3333 0.6667 0.7500
W 0.6667 0.3333 0.2500
Cl 0.0491 0.8092 0.7500
Cl 0.1908 0.2399 0.7500
Cl 0.2399 0.0491 0.2500
Cl 0.7601 0.9509 0.7500
Cl 0.8092 0.7601 0.2500
Cl 0.9509 0.1908 0.2500
O 0.1575 0.5219 0.5151
O 0.1575 0.5219 0.9849
O 0.3644 0.8425 0.5151
O 0.3644 0.8425 0.9849
O 0.4781 0.6356 0.5151
O 0.4781 0.6356 0.9849
O 0.5219 0.3644 0.0151
O 0.5219 0.3644 0.4849
O 0.6356 0.1575 0.0151
O 0.6356 0.1575 0.4849
O 0.8425 0.4781 0.0151
O 0.8425 0.4781 0.4849

Peak list (10 most intense, 2θ = 5–70°, sorted by position)
2θ (°), intensity
11.02, 54
25.39, 59
27.75, 60
29.43, 36
33.42, 49
33.93, 100
45.11, 48
48.01, 20
52.52, 35
60.03, 19